Ta3FeRu2: calculated powder XRD pattern (Cu Kα X-rays), based on a DFT-relaxed cell (GGA-PBE, Alexandria).

```
Ta3FeRu2
1.0
2.2046 -6.6275 0.0000
2.2046 6.6275 0.0000
0.0000 0.0000 6.4025
Ta Fe Ru
6 2 4
Cartesian
0.0000 0.0000 1.5728
0.0000 0.0000 4.8297
2.2046 2.2556 1.5318
2.2046 2.2556 4.8707
2.2046 -2.2556 1.5318
2.2046 -2.2556 4.8707
2.2046 4.4634 0.0000
2.2046 -4.4634 0.0000
2.2046 4.4297 3.2013
2.2046 0.0000 0.0000
2.2046 0.0000 3.2013
2.2046 -4.4297 3.2013
```

The 8 most intense peaks (2θ = 15–90°), by angle:
2theta  d (Å)  I_rel
28.6  3.121  13.9
40.4  2.235  100.0
40.9  2.207  48.5
59.2  1.561  16.2
73.0  1.296  16.8
74.0  1.280  16.4
74.2  1.279  16.5
87.3  1.117  10.7